CaIn4Ge4O14: simulated PXRD pattern (Cu Kα X-rays), based on the GGA-PBE geometry in the Materials Project.
Peak positions follow from Bragg's law for the DFT cell and can differ from measured ones.

Most intense lines, 5 to 70 degrees two-theta, most intense first:
d (Å)  I (rel.)  (hkl)
2.932  100  2 0 2
2.575  49  0 2 4
1.783  39  2 2 0
3.110  31  0 0 6
1.861  26  2 0 8
1.547  20  2 2 6
1.524  13  0 4 2
1.466  10  4 0 4
2.317  9  2 1 1
3.094  8  1 1 3
2.448  8  1 0 7
2.380  7  2 0 5

Structural model:
Cell lengths 7.1333, 7.1333, 18.6600 Å; angles 90.00, 90.00, 120.00 degrees
Space group R3m (No. 160, hexagonal axes)
Inequivalent atoms, fractional coordinates:
1 Ca 0.0000 0.0000 0.0000 x3
2 In 0.0000 0.0000 0.2458 x3
3 In 0.1819 0.3638 0.0949 x9
4 Ge 0.0000 0.0000 0.7253 x3
5 Ge 0.0044 0.5022 0.2330 x9
6 O 0.0000 0.0000 0.1222 x3
7 O 0.0000 0.0000 0.3635 x3
8 O 0.0578 0.5289 0.3394 x9
9 O 0.0654 0.5327 0.5828 x9
10 O 0.1961 0.3921 0.4590 x9
11 O 0.2014 0.4029 0.2133 x9